Entry 1:
# MnCuP2O8
Computed powder XRD pattern, Cu Ka. Input: the PBE+U geometry in the Materials Project.

Structure:
Unit cell a=8.5168 b=8.5168 c=20.7870 alpha=90.00 beta=90.00 gamma=120.00
Space group R3 (No. 146, hexagonal axes)
Unique sites:
Mn 0.0000 0.0000 0.0000 (multiplicity 3)
Mn 0.0000 0.0000 0.2162 (multiplicity 3)
Mn 0.0000 0.0000 0.5003 (multiplicity 3)
Cu 0.0000 0.0000 0.3578 (multiplicity 3)
Cu 0.0000 0.0000 0.7147 (multiplicity 3)
Cu 0.0000 0.0000 0.8563 (multiplicity 3)
P 0.0004 0.2910 0.6082 (multiplicity 9)
P 0.0432 0.6675 0.7753 (multiplicity 9)
O 0.0028 0.8057 0.0463 (multiplicity 9)
O 0.0045 0.1960 0.5464 (multiplicity 9)
O 0.0190 0.1805 0.2791 (multiplicity 9)
O 0.0232 0.8386 0.7821 (multiplicity 9)
O 0.1350 0.4615 0.3379 (multiplicity 9)
O 0.1418 0.6690 0.8372 (multiplicity 9)
O 0.1723 0.4848 0.6013 (multiplicity 9)
O 0.1740 0.6915 0.1030 (multiplicity 9)

Main lines, by angle (2θ from 10° to 90°):
- 2θ 20.86, intensity 100
- 2θ 24.54, intensity 85
- 2θ 25.63, intensity 19
- 2θ 32.40, intensity 15
- 2θ 33.33, intensity 76
- 2θ 36.55, intensity 39
- 2θ 47.85, intensity 34
- 2θ 50.30, intensity 27
- 2θ 57.27, intensity 42
- 2θ 63.76, intensity 20

=====

Entry 2:
# BaSr4Fe5O10
Computed powder XRD pattern, Cu Ka. Input: the PBE+U geometry in the Materials Project.

Structure:
Unit cell a=5.434 b=4.073 c=13.422 alpha=90.00 beta=93.77 gamma=90.00
Space group P2/m (No. 10)
Unique sites:
Ba 0.000 0.000 0.000 (multiplicity 1)
Sr 0.201 0.000 0.402 (multiplicity 2)
Sr 0.405 0.000 0.796 (multiplicity 2)
Fe 0.092 0.500 0.207 (multiplicity 2)
Fe 0.300 0.500 0.599 (multiplicity 2)
Fe 0.500 0.500 0.000 (multiplicity 1)
O 0.000 0.500 0.500 (multiplicity 1)
O 0.096 0.000 0.208 (multiplicity 2)
O 0.218 0.500 0.890 (multiplicity 2)
O 0.300 0.000 0.599 (multiplicity 2)
O 0.397 0.500 0.304 (multiplicity 2)
O 0.500 0.000 0.000 (multiplicity 1)

Main lines, by angle (2θ from 10° to 90°):
- 2θ 31.01, intensity 50
- 2θ 33.29, intensity 34
- 2θ 33.43, intensity 100
- 2θ 44.36, intensity 21
- 2θ 44.49, intensity 21
- 2θ 51.28, intensity 13
- 2θ 56.54, intensity 14
- 2θ 56.72, intensity 28
- 2θ 56.79, intensity 14
- 2θ 64.64, intensity 13

=====

Entry 3:
# LiCrC2O6
Computed powder XRD pattern, Cu Ka. Input: the PBE+U geometry in the Materials Project.

Structure:
Unit cell a=4.6668 b=4.6668 c=15.1994 alpha=90.00 beta=90.00 gamma=120.00
Space group R-3 (No. 148, hexagonal axes)
Unique sites:
Li 0.0000 0.0000 0.0000 (multiplicity 3)
Cr 0.0000 0.0000 0.5000 (multiplicity 3)
C 0.0000 0.0000 0.2437 (multiplicity 6)
O 0.0154 0.7304 0.2446 (multiplicity 18)

Main lines, by angle (2θ from 10° to 90°):
- 2θ 17.50, intensity 59
- 2θ 22.77, intensity 62
- 2θ 32.34, intensity 100
- 2θ 42.66, intensity 62
- 2θ 46.50, intensity 14
- 2θ 53.28, intensity 18
- 2θ 53.38, intensity 26
- 2θ 60.96, intensity 11
- 2θ 68.60, intensity 11
- 2θ 69.81, intensity 13

=====

Entry 4:
# NiTeO4
Computed powder XRD pattern, Cu Ka. Input: the PBE+U geometry in the Materials Project.

Structure:
Unit cell a=5.608 b=4.743 c=5.629 alpha=90.00 beta=113.43 gamma=90.00
Space group Pc (No. 7)
Unique sites:
Ni 0.000 0.250 0.000 (multiplicity 2)
Te 0.500 0.250 0.499 (multiplicity 2)
O 0.171 0.074 0.362 (multiplicity 2)
O 0.354 0.460 0.164 (multiplicity 2)
O 0.647 0.039 0.834 (multiplicity 2)
O 0.829 0.426 0.638 (multiplicity 2)

Main lines, by angle (2θ from 10° to 90°):
- 2θ 17.23, intensity 14
- 2θ 25.50, intensity 12
- 2θ 26.71, intensity 100
- 2θ 34.71, intensity 53
- 2θ 34.87, intensity 16
- 2θ 52.43, intensity 32
- 2θ 52.55, intensity 16
- 2θ 52.75, intensity 15
- 2θ 55.03, intensity 16
- 2θ 66.92, intensity 12

=====

Entry 5:
# VSiP2O9
Computed powder XRD pattern, Cu Ka. Input: the PBE+U geometry in the Materials Project.

Structure:
Unit cell a=8.953 b=8.953 c=8.339 alpha=90.00 beta=90.00 gamma=90.00
Space group P4/ncc (No. 130, origin choice 2)
Unique sites:
V 0.250 0.250 0.159 (multiplicity 4)
Si 0.250 0.750 0.000 (multiplicity 4)
P 0.072 0.572 0.250 (multiplicity 8)
O 0.088 0.100 0.203 (multiplicity 16)
O 0.116 0.683 0.109 (multiplicity 16)
O 0.250 0.250 0.463 (multiplicity 4)

Main lines, by angle (2θ from 10° to 90°):
- 2θ 19.83, intensity 23
- 2θ 21.31, intensity 27
- 2θ 23.54, intensity 31
- 2θ 24.67, intensity 100
- 2θ 25.58, intensity 23
- 2θ 28.19, intensity 57
- 2θ 29.27, intensity 51
- 2θ 30.97, intensity 27
- 2θ 44.63, intensity 14
- 2θ 45.30, intensity 19